Starting from DFT lattice parameters and positions (PBE), the X-ray diffraction stick pattern of RbFe2Te3 was simulated for λ = 1.5418 Å (Cu Kα).

Atomic structure:
Cell: 10.2588 13.3939 5.6144 Å, 90.00 90.00 90.00°
Space group Cmcm (No. 63)
Asymmetric unit:
Rb1 0.0000 0.1522 0.2500 [4 per cell]
Fe1 0.1239 0.5000 0.0000 [8 per cell]
Te1 0.0000 0.3663 0.7500 [4 per cell]
Te2 0.2413 0.1219 0.7500 [8 per cell]

Main lines, low angle first (10° ≤ 2θ ≤ 90°):
- 10.86°, d 8.144, I = 244, hkl 1 1 0
- 27.05°, d 3.296, I = 1000, hkl 2 2 1
- 42.00°, d 2.151, I = 227, hkl 0 4 2
- 44.50°, d 2.036, I = 188, hkl 4 4 0
- 47.27°, d 1.923, I = 175, hkl 2 6 1
- 48.05°, d 1.893, I = 162, hkl 4 0 2